This entry pairs a crystal structure of PmReAgO5 with its theoretical PXRD pattern. Radiation: λ = 1.5418 Å (Cu Kα). Structure: a cell relaxed with GGA-PBE.

Largest 8 diffraction maxima, in order of rising 2θ, 2θ from 10° to 90°:
d (Å), intensity
3.902, 96.1
3.722, 100.0
3.032, 35.2
2.910, 68.2
2.872, 28.0
2.825, 21.4
2.545, 27.5
1.952, 27.3

Crystal structure
```
PmReAgO5
1.0
4.0774 -4.7422 0.0000
4.0774 4.7422 0.0000
-3.5258 0.0000 7.8866
Pm Re Ag O
2 2 2 10
direct
0.0000 0.0000 0.0000
0.0000 0.0000 0.5000
0.3578 0.6422 0.7500
0.6422 0.3578 0.2500
0.2972 0.7028 0.2500
0.7028 0.2972 0.7500
0.0741 0.9259 0.2500
0.2190 0.7384 0.9029
0.2616 0.7810 0.5971
0.3046 0.3468 0.6214
0.3468 0.3046 0.1214
0.6532 0.6954 0.8786
0.6954 0.6532 0.3786
0.7384 0.2190 0.4029
0.7810 0.2616 0.0971
0.9259 0.0741 0.7500
```